For La7Dy2, the PBE geometry in Alexandria gives the simulated XRD peak list in this record (copper Kα).
Neutral-atom scattering factors, no anomalous dispersion.

Top 6 peaks for 10 to 90 degrees two-theta, sorted by position:
2θ = 29.58°, I = 34; 2θ = 29.70°, I = 100; 2θ = 34.39°, I = 68; 2θ = 49.35°, I = 24; 2θ = 49.51°, I = 24; 2θ = 58.76°, I = 43

Crystal structure
abc: 6.3781 6.3781 9.0593
angles: 90.00 90.00 120.00
Space group P-31m (No. 162)
Asymmetric unit:
La  0.0000  0.0000  0.0000 x1
La  0.0000  0.3336  0.6698 x6
Dy  0.3333  0.6667  0.0000 x2

---

For La5Dy3, the PBE geometry in Alexandria gives the simulated XRD peak list in this record (copper Kα).
Neutral-atom scattering factors, no anomalous dispersion.

Top 6 peaks for 10 to 90 degrees two-theta, sorted by position:
2θ = 29.82°, I = 100; 2θ = 34.25°, I = 35; 2θ = 35.20°, I = 16; 2θ = 49.93°, I = 24; 2θ = 58.61°, I = 30; 2θ = 59.88°, I = 13

Crystal structure
abc: 3.7030 3.7030 20.3960
angles: 90.00 90.00 90.00
Space group P4/mmm (No. 123)
Asymmetric unit:
La  0.0000  0.0000  0.0000 x1
La  0.0000  0.0000  0.2469 x2
La  0.5000  0.5000  0.3759 x2
Dy  0.0000  0.0000  0.5000 x1
Dy  0.5000  0.5000  0.1220 x2

---

For La2Dy, the PBE geometry in Alexandria gives the simulated XRD peak list in this record (copper Kα).
Neutral-atom scattering factors, no anomalous dispersion.

Top 6 peaks for 10 to 90 degrees two-theta, sorted by position:
2θ = 28.83°, I = 27; 2θ = 29.64°, I = 48; 2θ = 30.38°, I = 100; 2θ = 33.53°, I = 68; 2θ = 49.65°, I = 35; 2θ = 58.89°, I = 41

Crystal structure
abc: 3.6725 3.6725 54.2569
angles: 90.00 90.00 120.00
Space group R-3m (No. 166, hexagonal axes)
Asymmetric unit:
La  0.0000  0.0000  0.1381 x6
La  0.0000  0.0000  0.3037 x6
Dy  0.0000  0.0000  0.4169 x6

---

For La5Dy3, the PBE geometry in Alexandria gives the simulated XRD peak list in this record (copper Kα).
Neutral-atom scattering factors, no anomalous dispersion.

Top 6 peaks for 10 to 90 degrees two-theta, sorted by position:
2θ = 29.89°, I = 100; 2θ = 34.43°, I = 34; 2θ = 35.09°, I = 16; 2θ = 49.98°, I = 24; 2θ = 58.89°, I = 29; 2θ = 59.77°, I = 14

Crystal structure
abc: 5.1150 5.2074 10.4246
angles: 90.00 90.00 90.00
Space group Pmmm (No. 47)
Asymmetric unit:
La  0.0000  0.0000  0.0000 x1
La  0.0000  0.0000  0.5000 x1
La  0.0000  0.5000  0.2463 x2
La  0.5000  0.5000  0.5000 x1
Dy  0.5000  0.0000  0.2470 x2
Dy  0.5000  0.5000  0.0000 x1

---

For La5Dy7, the PBE geometry in Alexandria gives the simulated XRD peak list in this record (copper Kα).
Neutral-atom scattering factors, no anomalous dispersion.

Top 6 peaks for 10 to 90 degrees two-theta, sorted by position:
2θ = 29.30°, I = 53; 2θ = 30.49°, I = 41; 2θ = 32.19°, I = 100; 2θ = 36.57°, I = 24; 2θ = 50.08°, I = 21; 2θ = 59.68°, I = 25

Crystal structure
abc: 18.9171 3.6503 13.3312
angles: 90.00 118.41 90.00
Space group C2/m (No. 12)
Asymmetric unit:
La  0.0000  0.0000  0.0000 x2
La  0.1648  0.0000  0.4967 x4
La  0.1937  0.5000  0.7500 x4
Dy  0.0000  0.5000  0.5000 x2
Dy  0.0265  0.0000  0.7509 x4
Dy  0.1376  0.5000  0.2477 x4
Dy  0.1659  0.5000  0.9960 x4

---

For La5Dy, the PBE geometry in Alexandria gives the simulated XRD peak list in this record (copper Kα).
Neutral-atom scattering factors, no anomalous dispersion.

Top 6 peaks for 10 to 90 degrees two-theta, sorted by position:
2θ = 29.53°, I = 100; 2θ = 29.67°, I = 99; 2θ = 34.06°, I = 34; 2θ = 34.44°, I = 67; 2θ = 49.22°, I = 48; 2θ = 58.23°, I = 29

Crystal structure
abc: 5.2649 11.0851 7.3418
angles: 90.00 90.00 90.00
Space group Pmmn (No. 59, origin choice 2)
Asymmetric unit:
La  0.2500  0.0805  0.1237 x4
La  0.2500  0.0834  0.6249 x4
La  0.2500  0.7500  0.6272 x2
Dy  0.2500  0.7500  0.1241 x2

---

For LiLaDy, the PBE geometry in Alexandria gives the simulated XRD peak list in this record (copper Kα).
Neutral-atom scattering factors, no anomalous dispersion.

Top 6 peaks for 10 to 90 degrees two-theta, sorted by position:
2θ = 12.43°, I = 46; 2θ = 22.01°, I = 17; 2θ = 31.61°, I = 100; 2θ = 36.66°, I = 50; 2θ = 52.82°, I = 34; 2θ = 62.88°, I = 38

Crystal structure
abc: 15.1085 15.1085 8.4919
angles: 90.00 90.00 120.00
Space group R-3 (No. 148, hexagonal axes)
Asymmetric unit:
Li  0.0815  0.5635  0.1675 x18
La  0.0352  0.2842  0.8179 x18
Dy  0.0236  0.1434  0.1693 x18

---

For Li4LaDy, the PBE geometry in Alexandria gives the simulated XRD peak list in this record (copper Kα).
Neutral-atom scattering factors, no anomalous dispersion.

Top 6 peaks for 10 to 90 degrees two-theta, sorted by position:
2θ = 18.26°, I = 100; 2θ = 30.03°, I = 99; 2θ = 35.37°, I = 71; 2θ = 47.06°, I = 26; 2θ = 53.32°, I = 40; 2θ = 56.84°, I = 24

Crystal structure
abc: 8.4174 8.4174 8.4174
angles: 90.00 90.00 90.00
Space group F-43m (No. 216)
Asymmetric unit:
Li  0.1242  0.1242  0.3758 x16
La  0.0000  0.0000  0.0000 x4
Dy  0.2500  0.2500  0.7500 x4

---

For LaDy4Lu, the PBE geometry in Alexandria gives the simulated XRD peak list in this record (copper Kα).
Neutral-atom scattering factors, no anomalous dispersion.

Top 6 peaks for 10 to 90 degrees two-theta, sorted by position:
2θ = 27.05°, I = 25; 2θ = 31.83°, I = 100; 2θ = 33.29°, I = 42; 2θ = 50.89°, I = 36; 2θ = 55.78°, I = 32; 2θ = 78.86°, I = 23

Crystal structure
abc: 9.3232 9.3232 9.3232
angles: 90.00 90.00 90.00
Space group F-43m (No. 216)
Asymmetric unit:
La  0.0000  0.0000  0.0000 x4
Dy  0.1246  0.1246  0.6246 x16
Lu  0.2500  0.2500  0.2500 x4

---

For La2Dy3Mg3, the PBE geometry in Alexandria gives the simulated XRD peak list in this record (copper Kα).
Neutral-atom scattering factors, no anomalous dispersion.

Top 6 peaks for 10 to 90 degrees two-theta, sorted by position:
2θ = 23.42°, I = 24; 2θ = 25.45°, I = 34; 2θ = 31.36°, I = 22; 2θ = 32.50°, I = 100; 2θ = 32.84°, I = 26; 2θ = 54.91°, I = 20

Crystal structure
abc: 3.8523 5.4539 22.8229
angles: 90.00 90.00 90.00
Space group Immm (No. 71)
Asymmetric unit:
La  0.0000  0.0000  0.2326 x4
Dy  0.0000  0.0000  0.0000 x2
Dy  0.0000  0.5000  0.1201 x4
Mg  0.0000  0.0000  0.5000 x2
Mg  0.0000  0.5000  0.3880 x4

---

For La8Dy2Mg, the PBE geometry in Alexandria gives the simulated XRD peak list in this record (copper Kα).
Neutral-atom scattering factors, no anomalous dispersion.

Top 6 peaks for 10 to 90 degrees two-theta, sorted by position:
2θ = 30.22°, I = 40; 2θ = 30.36°, I = 91; 2θ = 30.59°, I = 100; 2θ = 31.10°, I = 59; 2θ = 43.92°, I = 28; 2θ = 54.05°, I = 22

Crystal structure
abc: 17.3139 5.7509 9.0934
angles: 90.00 120.42 90.00
Space group C2/m (No. 12)
Asymmetric unit:
La  0.0688  0.0000  0.2195 x4
La  0.0842  0.5000  0.9392 x4
La  0.1286  0.0000  0.6687 x4
La  0.1813  0.5000  0.4426 x4
Dy  0.2332  0.0000  0.1050 x4
Mg  0.0000  0.5000  0.5000 x2

---

For La8Dy3Mg, the PBE geometry in Alexandria gives the simulated XRD peak list in this record (copper Kα).
Neutral-atom scattering factors, no anomalous dispersion.

Top 6 peaks for 10 to 90 degrees two-theta, sorted by position:
2θ = 24.00°, I = 77; 2θ = 25.38°, I = 67; 2θ = 28.92°, I = 74; 2θ = 30.30°, I = 67; 2θ = 35.90°, I = 100; 2θ = 42.38°, I = 44

Crystal structure
abc: 8.7333 8.7333 11.8004
angles: 90.00 90.00 90.00
Space group I-42m (No. 121)
Asymmetric unit:
La  0.1332  0.1332  0.2472 x8
La  0.2450  0.2450  0.9765 x8
Dy  0.0000  0.0000  0.5000 x2
Dy  0.0000  0.5000  0.2500 x4
Mg  0.0000  0.0000  0.0000 x2